Structure and calculated X-ray diffraction stick pattern of KIn4Sb3 (the GGA-PBE geometry in Alexandria; Cu Kα X-rays).
No peak broadening, texture or thermal motion is included.

Structure:
abc: 4.8608 4.8608 11.2319
angles: 90.00 90.00 90.00
Atoms (fractional coordinates):
1 K 0.0000 0.0000 0.0000
2 In 0.0000 0.5000 0.3140
3 In 0.0000 0.5000 0.6860
4 In 0.5000 0.0000 0.3140
5 In 0.5000 0.0000 0.6860
6 Sb 0.0000 0.0000 0.5000
7 Sb 0.5000 0.5000 0.1401
8 Sb 0.5000 0.5000 0.8599

Main lines, in order of falling intensity (10 to 90 degrees two-theta):
2theta  intensity
35.5  100.0
37.0  88.2
30.5  54.8
19.9  44.0
53.3  38.2
65.7  32.0
62.7  27.0
27.1  25.3
24.2  22.1
55.7  16.7